Entry 1:
NaPC3: theoretical powder X-ray diffraction pattern (copper Kα), based on the GGA-PBE geometry in Alexandria.
Intensities are scaled so that the largest is 100.

Structural model:
Lattice parameters (Å, degrees): 3.7038 3.7038 3.7038 90.00 90.00 90.00
Sites, in units of the cell vectors:
1 Na 0.0000 0.0000 0.0000
2 P 0.5000 0.5000 0.5000
3 C 0.0000 0.5000 0.5000
4 C 0.5000 0.0000 0.5000
5 C 0.5000 0.5000 0.0000

The 10 most intense peaks (15° ≤ 2θ ≤ 90°), in order of rising 2θ:
h k l  two_theta  intensity
1 0 0  24.03  25
1 1 0  34.24  100
1 1 1  42.26  10
2 0 0  49.20  57
2 1 0  55.47  5
2 1 1  61.31  36
2 2 0  72.13  31
3 0 0  77.28  3
3 1 0  82.33  15
3 1 1  87.31  1

Entry 2:
Sm6Ag2Pt: theoretical powder X-ray diffraction pattern (copper Kα), based on the GGA-PBE geometry in Alexandria.
Intensities are scaled so that the largest is 100.

Structural model:
Lattice parameters (Å, degrees): 6.4146 7.9827 12.1759 90.00 121.70 90.00
Sites, in units of the cell vectors:
1 Sm 0.0993 0.1659 0.4482
2 Sm 0.0993 0.3341 0.9482
3 Sm 0.2983 0.7014 0.4416
4 Sm 0.2983 0.7986 0.9416
5 Sm 0.3999 0.0406 0.2570
6 Sm 0.3999 0.4594 0.7570
7 Sm 0.6001 0.5406 0.2430
8 Sm 0.6001 0.9594 0.7430
9 Sm 0.7017 0.2014 0.0584
10 Sm 0.7017 0.2986 0.5584
11 Sm 0.9007 0.6659 0.0518
12 Sm 0.9007 0.8341 0.5518
13 Ag 0.1799 0.1102 0.7657
14 Ag 0.1799 0.3898 0.2657
15 Ag 0.8201 0.6102 0.7343
16 Ag 0.8201 0.8898 0.2343
17 Pt 0.0000 0.0000 0.0000
18 Pt 0.0000 0.5000 0.5000

The 10 most intense peaks (15° ≤ 2θ ≤ 90°), in order of rising 2θ:
h k l  two_theta  intensity
1 2 -2  27.70  44
0 2 2  28.22  28
1 0 2  29.36  49
2 1 -2  30.03  28
2 1 -3  31.28  72
1 2 -3  31.52  100
0 0 4  34.64  28
2 1 -4  34.77  40
1 3 -1  36.56  42
3 1 -1  47.38  28